Calculated powder diffraction line list of Er2MnCoO6 for λ = 1.5418 Å (Cu Kα), from a DFT-relaxed cell (GGA+U, Alexandria).
Kinematic intensities with the Lorentz-polarization factor, no thermal factor.

Atomic structure:
abc: 5.220 5.676 9.004
angles: 90.00 125.02 90.00
Fractional coordinates of all 20 atoms:
Er  0.229  0.081  0.250
Er  0.229  0.419  0.750
Er  0.771  0.581  0.250
Er  0.771  0.919  0.750
Mn  0.500  0.000  0.000
Mn  0.500  0.500  0.500
Co  0.000  0.000  0.500
Co  0.000  0.500  0.000
O  0.143  0.176  0.944
O  0.143  0.324  0.444
O  0.263  0.700  0.943
O  0.263  0.800  0.443
O  0.365  0.039  0.750
O  0.365  0.461  0.250
O  0.635  0.539  0.750
O  0.635  0.961  0.250
O  0.737  0.200  0.557
O  0.737  0.300  0.057
O  0.857  0.676  0.556
O  0.857  0.824  0.056

Top 10 peaks for 2θ from 10° to 80°, in order of falling intensity:
2theta  I_rel
33.8  100
33.6  69
34.4  36
53.0  33
49.0  30
23.1  28
26.1  24
26.2  23
31.5  22
61.3  22